# 1
# Ta3Al
Simulated XRD peak list, Cu Kα X-rays. Input: a DFT-relaxed cell (PBE, OQMD).
Peak positions follow from Bragg's law for the DFT cell and can differ from measured ones.

Largest 10 diffraction maxima, sorted by position, 15° ≤ 2θ ≤ 90°:
| h k l | Position (°2θ) | Rel. int. |
| --- | --- | --- |
| 1 1 0 | 33.72 | 39.9 |
| 1 0 6 | 35.93 | 28.0 |
| 1 1 4 | 39.46 | 100.0 |
| 0 0 8 | 40.44 | 53.1 |
| 2 0 3 | 42.09 | 24.9 |
| 2 1 6 | 61.75 | 14.2 |
| 3 0 4 | 64.18 | 19.9 |
| 2 2 0 | 70.91 | 17.9 |
| 2 0 11 | 71.05 | 13.6 |
| 2 2 8 | 84.93 | 16.3 |

Structure:
a = 5.3159 Å, b = 5.3159 Å, c = 17.8578 Å
α = 90.00°, β = 90.00°, γ = 120.00°
Space group P6_3/mmc (No. 194)
Inequivalent atoms, fractional coordinates:
Ta  0.0000  0.0000  0.1002
Ta  0.1645  0.3289  0.2500
Ta  0.3333  0.6667  0.1211
Ta  0.3333  0.6667  0.6591
Al  0.0000  0.5000  0.0000

# 2
# Ta25Al4
Simulated XRD peak list, Cu Kα X-rays. Input: a DFT-relaxed cell (PBE, OQMD).
Peak positions follow from Bragg's law for the DFT cell and can differ from measured ones.

Largest 10 diffraction maxima, sorted by position, 15° ≤ 2θ ≤ 90°:
| h k l | Position (°2θ) | Rel. int. |
| --- | --- | --- |
| 2 1 1 | 21.20 | 16.6 |
| 4 1 1 | 37.16 | 100.0 |
| 3 3 2 | 41.25 | 40.1 |
| 4 2 2 | 43.18 | 10.8 |
| 4 3 1 | 45.03 | 29.7 |
| 5 5 0 | 64.15 | 8.7 |
| 5 5 2 | 66.99 | 31.9 |
| 6 4 2 | 68.39 | 10.5 |
| 8 2 2 | 79.18 | 12.4 |
| 6 5 5 | 88.29 | 7.7 |

Structure:
a = 10.2650 Å, b = 10.2650 Å, c = 10.2650 Å
α = 90.00°, β = 90.00°, γ = 90.00°
Space group I-43m (No. 217)
Inequivalent atoms, fractional coordinates:
Ta  0.0000  0.0000  0.0000
Ta  0.0394  0.3585  0.6415
Ta  0.0905  0.0905  0.7216
Al  0.1730  0.1730  0.1730

# 3
# Ta3Al
Simulated XRD peak list, Cu Kα X-rays. Input: a DFT-relaxed cell (PBE, OQMD).
Peak positions follow from Bragg's law for the DFT cell and can differ from measured ones.

Largest 10 diffraction maxima, sorted by position, 15° ≤ 2θ ≤ 90°:
| h k l | Position (°2θ) | Rel. int. |
| --- | --- | --- |
| 0 0 2 | 19.87 | 8.3 |
| 1 0 1 | 24.44 | 20.4 |
| 1 1 2 | 37.71 | 100.0 |
| 0 0 4 | 40.37 | 19.3 |
| 2 0 0 | 45.48 | 27.6 |
| 2 0 4 | 62.42 | 22.1 |
| 2 2 0 | 66.27 | 9.1 |
| 1 1 6 | 71.66 | 14.5 |
| 3 1 2 | 78.85 | 23.2 |
| 2 2 4 | 80.54 | 11.4 |

Structure:
a = 3.9888 Å, b = 3.9888 Å, c = 8.9362 Å
α = 90.00°, β = 90.00°, γ = 90.00°
Space group I4/mmm (No. 139)
Inequivalent atoms, fractional coordinates:
Ta  0.0000  0.0000  0.0000
Ta  0.0000  0.5000  0.2500
Al  0.0000  0.0000  0.5000

# 4
# TaAl12
Simulated XRD peak list, Cu Kα X-rays. Input: a DFT-relaxed cell (PBE, OQMD).
Peak positions follow from Bragg's law for the DFT cell and can differ from measured ones.

Largest 10 diffraction maxima, sorted by position, 15° ≤ 2θ ≤ 90°:
| h k l | Position (°2θ) | Rel. int. |
| --- | --- | --- |
| 1 0 1 | 19.74 | 75.5 |
| 0 1 2 | 20.49 | 52.2 |
| 1 0 4 | 23.29 | 52.5 |
| 0 1 5 | 25.19 | 27.6 |
| 1 1 0 | 34.08 | 56.6 |
| 1 1 6 | 39.31 | 100.0 |
| 0 1 11 | 40.59 | 43.3 |
| 2 0 5 | 42.85 | 41.1 |
| 1 1 9 | 45.12 | 33.4 |
| 0 2 7 | 45.83 | 28.3 |

Structure:
a = 5.2622 Å, b = 5.2622 Å, c = 28.0083 Å
α = 90.00°, β = 90.00°, γ = 120.00°
Space group R-3m (No. 166, hexagonal axes)
Inequivalent atoms, fractional coordinates:
Ta  0.0000  0.0000  0.0000
Al  0.0000  0.0000  0.1679
Al  0.0000  0.0000  0.3420
Al  0.0000  0.0000  0.4541
Al  0.0023  0.5012  0.4127

# 5
# TaAl28
Simulated XRD peak list, Cu Kα X-rays. Input: a DFT-relaxed cell (PBE, OQMD).
Peak positions follow from Bragg's law for the DFT cell and can differ from measured ones.

Largest 10 diffraction maxima, sorted by position, 15° ≤ 2θ ≤ 90°:
| h k l | Position (°2θ) | Rel. int. |
| --- | --- | --- |
| 2 0 0 | 17.91 | 13.0 |
| 2 1 1 | 21.98 | 25.9 |
| 3 1 0 | 28.50 | 17.1 |
| 3 2 1 | 33.87 | 32.3 |
| 4 1 1 | 38.57 | 100.0 |
| 3 3 2 | 42.83 | 23.0 |
| 4 2 2 | 44.83 | 17.7 |
| 5 5 0 | 66.79 | 19.9 |
| 7 2 1 | 69.78 | 25.8 |
| 7 4 3 | 84.07 | 14.4 |

Structure:
a = 9.9038 Å, b = 9.9038 Å, c = 9.9038 Å
α = 90.00°, β = 90.00°, γ = 90.00°
Space group I-43m (No. 217)
Inequivalent atoms, fractional coordinates:
Ta  0.0000  0.0000  0.0000
Al  0.0512  0.3609  0.6391
Al  0.0930  0.0930  0.7165
Al  0.1686  0.1686  0.1686

# 6
# Ta4Al9
Simulated XRD peak list, Cu Kα X-rays. Input: a DFT-relaxed cell (PBE, OQMD).
Peak positions follow from Bragg's law for the DFT cell and can differ from measured ones.

Largest 10 diffraction maxima, sorted by position, 15° ≤ 2θ ≤ 90°:
| h k l | Position (°2θ) | Rel. int. |
| --- | --- | --- |
| 1 0 1 | 20.44 | 100.0 |
| 1 1 0 | 35.37 | 68.7 |
| 1 0 10 | 37.63 | 59.5 |
| 1 1 6 | 40.30 | 19.8 |
| 0 1 11 | 40.43 | 43.6 |
| 0 2 1 | 41.19 | 33.4 |
| 1 1 9 | 45.83 | 28.7 |
| 2 1 10 | 64.98 | 24.1 |
| 1 2 11 | 66.90 | 24.3 |
| 2 0 20 | 80.29 | 15.6 |

Structure:
a = 5.0760 Å, b = 5.0760 Å, c = 28.4794 Å
α = 90.00°, β = 90.00°, γ = 120.00°
Space group R-3m (No. 166, hexagonal axes)
Inequivalent atoms, fractional coordinates:
Ta  0.0000  0.0000  0.0468
Ta  0.0000  0.0000  0.1480
Al  0.0000  0.0000  0.3335
Al  0.0000  0.0000  0.5000
Al  0.0031  0.5016  0.9096